(1)
This entry pairs a crystal structure of Rb2DyAuBr6 with its calculated powder XRD pattern. Radiation: Cu Kα, 1.54184 Å. Structure: a DFT-relaxed cell (PBE, OQMD).

Top 10 peaks for 10 to 90 degrees two-theta, by intensity:
Position (°2θ), Rel. int.
45.64, 100.0
31.87, 91.6
15.76, 85.8
22.36, 84.3
31.75, 46.2
39.25, 40.3
56.71, 34.7
35.69, 31.4
75.71, 29.8
27.48, 25.3

Structure:
a = 7.956 Å, b = 7.956 Å, c = 7.956 Å
α = 120.12°, β = 120.12°, γ = 89.80°
Fractional positions:
Rb1 0.250 0.750 0.500
Rb2 0.750 0.250 0.500
Dy1 0.000 0.000 0.000
Au1 0.500 0.500 0.000
Br1 0.247 0.247 0.000
Br2 0.248 0.248 0.495
Br3 0.248 0.752 0.000
Br4 0.752 0.248 0.000
Br5 0.752 0.752 0.505
Br6 0.753 0.753 0.000


(2)
This entry pairs a crystal structure of BaTmTe2AuSe with its calculated powder XRD pattern. Radiation: Cu Kα, 1.54184 Å. Structure: a DFT-relaxed cell (PBE, OQMD).

Top 10 peaks for 10 to 90 degrees two-theta, by intensity:
Position (°2θ), Rel. int.
31.82, 100.0
28.39, 73.2
11.73, 50.7
32.92, 44.7
40.00, 41.9
41.65, 35.6
50.29, 25.2
27.15, 22.3
54.08, 21.9
39.48, 20.4

Structure:
a = 7.848 Å, b = 7.848 Å, c = 10.884 Å
α = 90.00°, β = 90.00°, γ = 147.92°
Fractional positions:
Ba1 0.241 0.759 0.750
Ba2 0.759 0.241 0.250
Tm1 0.500 0.500 0.000
Tm2 0.500 0.500 0.500
Te1 0.141 0.859 0.047
Te2 0.141 0.859 0.453
Te3 0.859 0.141 0.547
Te4 0.859 0.141 0.953
Au1 0.031 0.969 0.250
Au2 0.969 0.031 0.750
Se1 0.426 0.574 0.250
Se2 0.574 0.426 0.750


(3)
This entry pairs a crystal structure of LuScNiBi with its calculated powder XRD pattern. Radiation: Cu Kα, 1.54184 Å. Structure: a DFT-relaxed cell (PBE, OQMD).

Top 10 peaks for 10 to 90 degrees two-theta, by intensity:
Position (°2θ), Rel. int.
36.20, 100.0
25.38, 36.7
65.11, 35.9
52.13, 17.6
88.00, 16.4
58.84, 16.1
44.73, 11.6
76.83, 11.2
82.45, 8.4
21.93, 1.4

Structure:
a = 4.963 Å, b = 4.963 Å, c = 4.963 Å
α = 60.00°, β = 60.00°, γ = 60.00°
Fractional positions:
Lu1 0.000 0.000 0.000
Sc1 0.250 0.250 0.250
Ni1 0.750 0.750 0.750
Bi1 0.500 0.500 0.500


Question: Which formula does entry 1 have?
Answer: Rb2DyAuBr6